Structure and calculated X-ray diffraction stick pattern of ErCu3Se2ClO8 (a GGA-PBE-relaxed structure; Cu Kα (weighted mean of Kα1 and Kα2)).
Neutral-atom scattering factors, no anomalous dispersion.

Atomic structure:
Unit cell a=6.346 b=9.522 c=7.031 alpha=90.00 beta=90.00 gamma=90.00
Fractional coordinates of all 30 atoms:
Er 0.250 0.250 0.234
Er 0.750 0.750 0.766
Cu 0.000 0.000 0.500
Cu 0.000 0.500 0.500
Cu 0.250 0.250 0.706
Cu 0.500 0.000 0.500
Cu 0.500 0.500 0.500
Cu 0.750 0.750 0.294
Se 0.250 0.561 0.912
Se 0.250 0.939 0.912
Se 0.750 0.061 0.088
Se 0.750 0.439 0.088
Cl 0.250 0.750 0.351
Cl 0.750 0.250 0.649
O 0.036 0.590 0.762
O 0.036 0.910 0.762
O 0.250 0.113 0.501
O 0.250 0.120 0.927
O 0.250 0.380 0.927
O 0.250 0.387 0.501
O 0.464 0.590 0.762
O 0.464 0.910 0.762
O 0.536 0.090 0.238
O 0.536 0.410 0.238
O 0.750 0.613 0.499
O 0.750 0.620 0.073
O 0.750 0.880 0.073
O 0.750 0.887 0.499
O 0.964 0.090 0.238
O 0.964 0.410 0.238

Largest 10 diffraction maxima, sorted by position, 10° ≤ 2θ ≤ 80°:
- 15.7 deg, I = 53, hkl 0 1 1
- 16.8 deg, I = 89, hkl 1 1 0
- 26.6 deg, I = 74, hkl 1 2 1
- 30.5 deg, I = 50, hkl 1 1 2
- 30.9 deg, I = 42, hkl 2 0 1
- 31.5 deg, I = 59, hkl 1 3 0
- 31.6 deg, I = 100, hkl 0 2 2
- 34.0 deg, I = 51, hkl 2 2 0
- 36.3 deg, I = 56, hkl 2 2 1
- 54.8 deg, I = 58, hkl 2 4 2